Entry 1:
Starting from a crystal structure in Alexandria, relaxed with PBE, the powder XRD pattern of CeAgCl4 was computed for λ = 1.5418 Å (Cu Kα).

Most intense lines, 10 to 90 degrees two-theta, low angle first:
20.06°, intensity 100, hkl 2 0 0
24.05°, intensity 67, hkl 1 1 2
28.52°, intensity 12, hkl 2 2 0
37.64°, intensity 86, hkl 3 1 2
39.28°, intensity 13, hkl 0 0 4
40.77°, intensity 21, hkl 4 0 0
44.49°, intensity 23, hkl 2 0 4
47.89°, intensity 35, hkl 3 3 2
57.90°, intensity 12, hkl 4 0 4
64.66°, intensity 13, hkl 5 3 2

Structure:
```
data_CeAgCl4
_chemical_formula_sum 'Ce4 Ag4 Cl16'
_cell_length_a 8.8535
_cell_length_b 8.8535
_cell_length_c 9.1746
_cell_angle_alpha 90.00
_cell_angle_beta 90.00
_cell_angle_gamma 90.00
_space_group_name_H-M_alt 'I 41/a m d'
_space_group_IT_number 141
loop_
_space_group_symop_operation_xyz
'x,y,z'
'-x,-y,-z'
'-y+1/4,x+3/4,z+1/4'
'y+1/4,-x+3/4,-z+1/4'
'-x+1/2,-y,z+1/2'
'x+1/2,y,-z+1/2'
'y+1/4,-x+1/4,z+3/4'
'-y+1/4,x+1/4,-z+3/4'
'x,-y,-z'
'-x,y,z'
'-y+1/4,-x+1/4,-z+3/4'
'y+1/4,x+1/4,z+3/4'
'-x+1/2,y,-z+1/2'
'x+1/2,-y,z+1/2'
'y+1/4,x+3/4,-z+1/4'
'-y+1/4,-x+3/4,z+1/4'
'x+1/2,y+1/2,z+1/2'
'-x+1/2,-y+1/2,-z+1/2'
'-y+3/4,x+1/4,z+3/4'
'y+3/4,-x+1/4,-z+3/4'
'-x,-y+1/2,z'
'x,y+1/2,-z'
'y+3/4,-x+3/4,z+1/4'
'-y+3/4,x+3/4,-z+1/4'
'x+1/2,-y+1/2,-z+1/2'
'-x+1/2,y+1/2,z+1/2'
'-y+3/4,-x+3/4,-z+1/4'
'y+3/4,x+3/4,z+1/4'
'-x,y+1/2,-z'
'x,-y+1/2,z'
'y+3/4,x+1/4,-z+3/4'
'-y+3/4,-x+1/4,z+3/4'
loop_
_atom_site_label
_atom_site_fract_x
_atom_site_fract_y
_atom_site_fract_z
Ce1 0.0000 0.2500 0.3750
Ag1 0.0000 0.2500 0.8750
Cl1 0.0000 0.0641 0.6600
```



Entry 2:
Starting from a crystal structure in Alexandria, relaxed with PBE, the powder XRD pattern of Al2PbSe4 was computed for λ = 1.5418 Å (Cu Kα).

Most intense lines, 10 to 90 degrees two-theta, low angle first:
16.29°, intensity 80, hkl 1 1 0
22.98°, intensity 59, hkl 1 1 2
29.37°, intensity 100, hkl 1 3 1
32.55°, intensity 39, hkl 0 0 4
32.65°, intensity 25, hkl 1 3 2
32.92°, intensity 34, hkl 2 2 0
36.54°, intensity 70, hkl 0 4 2
36.85°, intensity 85, hkl 2 2 2
52.61°, intensity 26, hkl 0 2 6
58.31°, intensity 28, hkl 2 6 0

Structure:
```
data_Al2PbSe4
_chemical_formula_sum 'Al8 Pb4 Se16'
_cell_length_a 6.2610
_cell_length_b 10.9948
_cell_length_c 11.0127
_cell_angle_alpha 90.00
_cell_angle_beta 90.00
_cell_angle_gamma 90.00
_space_group_name_H-M_alt 'C c c m'
_space_group_IT_number 66
_space_group_name_Hall '-C 2 2c'
loop_
_atom_site_label
_atom_site_fract_x
_atom_site_fract_y
_atom_site_fract_z
Al1 0.0015 0.2403 0.0000
Pb1 0.0000 0.5000 0.2500
Se1 0.2339 0.4175 0.5000
Se2 0.2500 0.2500 0.1684
```



Entry 3:
Starting from a crystal structure in Alexandria, relaxed with PBE, the powder XRD pattern of CoPdSe was computed for λ = 1.5418 Å (Cu Kα).

Most intense lines, 10 to 90 degrees two-theta, low angle first:
27.24°, intensity 42, hkl 0 1 2
31.12°, intensity 44, hkl 1 0 4
33.77°, intensity 14, hkl 0 1 5
40.07°, intensity 20, hkl 1 0 7
43.62°, intensity 93, hkl 0 1 8
45.55°, intensity 100, hkl 1 1 0
64.89°, intensity 27, hkl 2 0 8
72.30°, intensity 14, hkl 1 1 12
82.84°, intensity 27, hkl 1 2 8
84.20°, intensity 16, hkl 3 0 0

Structure:
```
data_CoPdSe
_chemical_formula_sum 'Co6 Pd6 Se6'
_cell_length_a 3.9832
_cell_length_b 3.9832
_cell_length_c 20.7818
_cell_angle_alpha 90.00
_cell_angle_beta 90.00
_cell_angle_gamma 120.00
_space_group_name_H-M_alt 'R -3 m'
_space_group_IT_number 166
_space_group_name_Hall '-R 3 2"'
loop_
_atom_site_label
_atom_site_fract_x
_atom_site_fract_y
_atom_site_fract_z
Co1 0.0000 0.0000 0.1228
Pd1 0.0000 0.0000 0.3732
Se1 0.0000 0.0000 0.2346
```



Entry 4:
Starting from a crystal structure in Alexandria, relaxed with PBE, the powder XRD pattern of Tb6CdRh was computed for λ = 1.5418 Å (Cu Kα).

Most intense lines, 10 to 90 degrees two-theta, low angle first:
23.99°, intensity 17, hkl 1 -1 1
28.42°, intensity 33, hkl 0 0 2
29.43°, intensity 100, hkl 2 -1 0
29.49°, intensity 70, hkl -1 2 1
29.62°, intensity 33, hkl -2 1 2
38.66°, intensity 25, hkl 1 -2 2
38.76°, intensity 23, hkl 1 1 -3
45.28°, intensity 18, hkl 0 3 -1
45.48°, intensity 36, hkl -3 3 1
50.88°, intensity 22, hkl 2 -1 2

Structure:
```
data_Tb6CdRh
_chemical_formula_sum 'Tb6 Cd1 Rh1'
_cell_length_a 6.8998
_cell_length_b 6.9233
_cell_length_c 7.4219
_cell_angle_alpha 90.27
_cell_angle_beta 117.38
_cell_angle_gamma 119.80
_space_group_name_H-M_alt 'P -1'
_space_group_IT_number 2
loop_
_space_group_symop_operation_xyz
'x,y,z'
'-x,-y,-z'
loop_
_atom_site_label
_atom_site_fract_x
_atom_site_fract_y
_atom_site_fract_z
Tb1 0.0385 0.0798 0.2531
Tb2 0.2930 0.7135 0.2519
Tb3 0.3238 0.5394 0.7479
Cd1 0.5000 0.0000 0.0000
Rh1 0.5000 0.5000 0.5000
```